Diffraction record for NaTaTiSi2SO12. The powder X-ray diffraction pattern is computed, not measured: it uses a crystal structure in the Materials Project, relaxed with GGA-PBE and copper Kα.
Neutral-atom scattering factors, no anomalous dispersion.

Structural model:
Cell: 8.790 8.790 9.203 Å, 119.42 119.42 60.45°
Positions (direct):
Na1 0.245 0.755 0.500
Na2 0.755 0.245 0.000
Ta1 0.106 0.611 0.057
Ta2 0.611 0.106 0.557
Ti1 0.379 0.926 0.929
Ti2 0.926 0.379 0.429
Si1 0.006 0.785 0.740
Si2 0.213 0.292 0.243
Si3 0.292 0.213 0.743
Si4 0.785 0.006 0.240
S1 0.504 0.710 0.239
S2 0.710 0.504 0.739
O1 0.025 0.319 0.262
O2 0.027 0.754 0.913
O3 0.111 0.243 0.569
O4 0.184 0.476 0.217
O5 0.191 0.809 0.768
O6 0.243 0.111 0.069
O7 0.252 0.394 0.915
O8 0.319 0.025 0.762
O9 0.335 0.692 0.225
O10 0.394 0.252 0.415
O11 0.475 0.739 0.083
O12 0.476 0.184 0.717
O13 0.525 0.877 0.403
O14 0.544 0.661 0.764
O15 0.606 0.967 0.068
O16 0.661 0.544 0.264
O17 0.692 0.335 0.725
O18 0.739 0.475 0.583
O19 0.754 0.027 0.413
O20 0.809 0.191 0.268
O21 0.823 0.972 0.716
O22 0.877 0.525 0.903
O23 0.967 0.606 0.568
O24 0.972 0.823 0.216

Top 10 peaks for 2θ = 5–70°, in order of falling intensity:
2θ/deg  I/Imax
13.89  100
20.21  96
19.58  79
23.25  51
20.07  50
27.99  49
19.31  47
35.20  42
31.49  40
14.17  40